Diffraction record for DyNi2Ge2. The powder XRD pattern is computed, not measured: it uses a crystal structure in the Materials Project, relaxed with PBE and Cu Ka.

Structure:
abc: 4.0563 4.0563 9.7935
angles: 90.00 90.00 90.00
Atoms (fractional coordinates):
Dy1 0.0000 0.0000 0.0000
Dy2 0.5000 0.5000 0.5000
Ni1 0.0000 0.5000 0.2500
Ni2 0.0000 0.5000 0.7500
Ni3 0.5000 0.0000 0.2500
Ni4 0.5000 0.0000 0.7500
Ge1 0.0000 0.0000 0.3718
Ge2 0.0000 0.0000 0.6282
Ge3 0.5000 0.5000 0.1282
Ge4 0.5000 0.5000 0.8718

The 10 most intense peaks (10° ≤ 2θ ≤ 80°), by intensity:
- 36.3 deg, d = 2.475 Å, I 100, (1 1 2)
- 35.3 deg, d = 2.543 Å, I 99, (1 0 3)
- 44.7 deg, d = 2.028 Å, I 67, (2 0 0)
- 58.2 deg, d = 1.586 Å, I 47, (2 1 3)
- 31.2 deg, d = 2.868 Å, I 30, (1 1 0)
- 51.8 deg, d = 1.764 Å, I 29, (1 0 5)
- 70.8 deg, d = 1.331 Å, I 23, (2 1 5)
- 76.8 deg, d = 1.241 Å, I 21, (3 1 2)
- 65.0 deg, d = 1.434 Å, I 21, (2 2 0)
- 65.8 deg, d = 1.419 Å, I 20, (1 1 6)